Structure and calculated PXRD pattern of MnFe3Sb2P6O24 (a GGA+U-relaxed structure; copper Kα).
Kinematic intensities with the Lorentz-polarization factor, no thermal factor.

Cell and atoms:
a = 8.6970 Å, b = 8.6970 Å, c = 21.9400 Å
α = 90.00°, β = 90.00°, γ = 120.00°
Space group R3 (No. 146, hexagonal axes)
One atom of each set of equivalent atoms:
Mn1 0.0000 0.0000 0.0000 (multiplicity 3)
Fe1 0.0000 0.0000 0.2012 (multiplicity 3)
Fe2 0.0000 0.0000 0.5000 (multiplicity 3)
Fe3 0.0000 0.0000 0.7021 (multiplicity 3)
Sb1 0.0000 0.0000 0.3456 (multiplicity 3)
Sb2 0.0000 0.0000 0.8467 (multiplicity 3)
P1 0.9999 0.2928 0.1031 (multiplicity 9)
P2 0.0440 0.6688 0.2699 (multiplicity 9)
O1 0.0100 0.2075 0.0437 (multiplicity 9)
O2 0.0195 0.8384 0.2719 (multiplicity 9)
O3 0.0259 0.1841 0.7716 (multiplicity 9)
O4 0.1412 0.6722 0.2118 (multiplicity 9)
O5 0.1419 0.6780 0.3288 (multiplicity 9)
O6 0.1426 0.4662 0.8278 (multiplicity 9)
O7 0.1602 0.4855 0.1033 (multiplicity 9)
O8 0.1654 0.6878 0.6003 (multiplicity 9)

Largest 6 diffraction maxima, in order of rising 2θ, 2θ = 10–80°:
2θ 20.42, I = 100
2θ 23.81, I = 61
2θ 31.98, I = 94
2θ 35.77, I = 39
2θ 45.95, I = 26
2θ 48.73, I = 34